1.
# Rb2Tl6Au3
Theoretical X-ray diffraction stick pattern, a wavelength of 1.5418 Å. Input: a cell relaxed with PBE.
Kinematic intensities with the Lorentz-polarization factor, no thermal factor.

Atomic structure:
```
Rb2Tl6Au3
1.0
9.025 0.000 0.000
-4.512 7.815 0.000
0.000 0.000 5.059
Rb Tl Au
2 6 3
Direct
0.333 0.667 0.000
0.667 0.333 0.000
0.000 0.302 0.500
0.000 0.794 0.000
0.206 0.206 0.000
0.302 0.000 0.500
0.698 0.698 0.500
0.794 0.000 0.000
0.000 0.626 0.500
0.374 0.374 0.500
0.626 0.000 0.500
```

Top 10 peaks for 10° ≤ 2θ ≤ 90°, sorted by position:
2θ = 11.3°, 7.815 Å, I 22
2θ = 19.7°, 4.512 Å, I 38
2θ = 26.5°, 3.367 Å, I 79
2θ = 34.4°, 2.605 Å, I 43
2θ = 35.2°, 2.551 Å, I 100
2θ = 35.5°, 2.529 Å, I 43
2θ = 38.9°, 2.316 Å, I 46
2θ = 50.3°, 1.815 Å, I 30
2θ = 57.0°, 1.616 Å, I 30
2θ = 63.5°, 1.464 Å, I 20

2.
# Na4B5C3
Theoretical X-ray diffraction stick pattern, a wavelength of 1.5418 Å. Input: a cell relaxed with PBE.
Kinematic intensities with the Lorentz-polarization factor, no thermal factor.

Atomic structure:
```
Na4B5C3
1.0
8.526 0.000 0.000
0.000 2.809 0.000
0.000 0.000 10.130
Na B C
8 10 6
Direct
0.000 0.000 0.000
0.000 0.000 0.500
0.003 0.500 0.249
0.497 0.500 0.249
0.500 0.000 0.000
0.500 0.000 0.500
0.503 0.500 0.751
0.997 0.500 0.751
0.250 0.000 0.162
0.250 0.000 0.687
0.250 0.500 0.402
0.250 0.500 0.575
0.250 0.500 0.923
0.750 0.000 0.313
0.750 0.000 0.838
0.750 0.500 0.077
0.750 0.500 0.425
0.750 0.500 0.598
0.250 0.000 0.322
0.250 0.000 0.841
0.250 0.500 0.081
0.750 0.000 0.159
0.750 0.000 0.678
0.750 0.500 0.919
```

Top 10 peaks for 10° ≤ 2θ ≤ 90°, sorted by position:
2θ = 35.4°, 2.533 Å, I 8
2θ = 36.6°, 2.456 Å, I 12
2θ = 41.5°, 2.177 Å, I 36
2θ = 42.5°, 2.129 Å, I 100
2θ = 57.2°, 1.610 Å, I 7
2θ = 64.4°, 1.447 Å, I 12
2θ = 77.6°, 1.230 Å, I 9
2θ = 80.2°, 1.197 Å, I 12
2θ = 81.6°, 1.180 Å, I 7
2θ = 82.2°, 1.173 Å, I 6

3.
# NaNb3O5
Theoretical X-ray diffraction stick pattern, a wavelength of 1.5418 Å. Input: a cell relaxed with PBE.
Kinematic intensities with the Lorentz-polarization factor, no thermal factor.

Atomic structure:
```
NaNb3O5
1.0
4.506 -3.097 0.000
4.506 3.097 0.000
-2.662 0.000 8.677
Na Nb O
2 6 10
Direct
0.144 0.144 0.383
0.856 0.856 0.617
0.000 0.000 0.000
0.213 0.213 0.779
0.459 0.459 0.176
0.500 0.500 0.500
0.541 0.541 0.824
0.787 0.787 0.221
0.157 0.618 0.337
0.239 0.239 0.010
0.312 0.688 0.000
0.337 0.337 0.618
0.382 0.843 0.663
0.618 0.157 0.337
0.663 0.663 0.382
0.688 0.312 0.000
0.761 0.761 0.990
0.843 0.382 0.663
```

Top 10 peaks for 10° ≤ 2θ ≤ 90°, sorted by position:
2θ = 17.6°, 5.030 Å, I 41
2θ = 21.9°, 4.060 Å, I 58
2θ = 28.8°, 3.097 Å, I 100
2θ = 33.0°, 2.716 Å, I 99
2θ = 33.2°, 2.701 Å, I 53
2θ = 34.4°, 2.606 Å, I 28
2θ = 35.1°, 2.554 Å, I 30
2θ = 44.6°, 2.030 Å, I 31
2θ = 53.2°, 1.722 Å, I 33
2θ = 53.8°, 1.704 Å, I 37

4.
# Pa3MnGe3
Theoretical X-ray diffraction stick pattern, a wavelength of 1.5418 Å. Input: a cell relaxed with PBE.
Kinematic intensities with the Lorentz-polarization factor, no thermal factor.

Atomic structure:
```
Pa3MnGe3
1.0
5.313 -2.061 0.000
5.313 2.061 0.000
-3.690 0.000 13.369
Pa Mn Ge
6 2 6
Direct
0.034 0.034 0.379
0.076 0.076 0.921
0.271 0.271 0.237
0.729 0.729 0.763
0.924 0.924 0.079
0.966 0.966 0.621
0.256 0.256 0.609
0.744 0.744 0.391
0.350 0.350 0.921
0.364 0.364 0.459
0.446 0.446 0.765
0.554 0.554 0.235
0.636 0.636 0.541
0.650 0.650 0.079
```

Top 10 peaks for 10° ≤ 2θ ≤ 90°, sorted by position:
2θ = 23.3°, 3.824 Å, I 30
2θ = 24.6°, 3.626 Å, I 34
2θ = 27.7°, 3.218 Å, I 31
2θ = 32.3°, 2.769 Å, I 80
2θ = 33.4°, 2.685 Å, I 38
2θ = 33.8°, 2.650 Å, I 100
2θ = 34.0°, 2.637 Å, I 90
2θ = 34.1°, 2.629 Å, I 38
2θ = 39.3°, 2.292 Å, I 46
2θ = 43.9°, 2.061 Å, I 54

5.
# La3Ag2
Theoretical X-ray diffraction stick pattern, a wavelength of 1.5418 Å. Input: a cell relaxed with PBE.
Kinematic intensities with the Lorentz-polarization factor, no thermal factor.

Atomic structure:
```
La3Ag2
1.0
0.000 2.698 10.106
2.694 0.000 10.106
2.694 2.698 0.000
La Ag
3 2
Direct
0.000 0.000 0.000
0.375 0.375 0.625
0.625 0.625 0.375
0.215 0.215 0.785
0.785 0.785 0.215
```

Top 10 peaks for 10° ≤ 2θ ≤ 90°, sorted by position:
2θ = 26.9°, 3.319 Å, I 21
2θ = 32.3°, 2.774 Å, I 100
2θ = 33.2°, 2.696 Å, I 67
2θ = 35.5°, 2.527 Å, I 10
2θ = 39.1°, 2.302 Å, I 17
2θ = 47.7°, 1.907 Å, I 24
2θ = 49.4°, 1.844 Å, I 15
2θ = 58.8°, 1.571 Å, I 35
2θ = 60.9°, 1.522 Å, I 8
2θ = 79.5°, 1.206 Å, I 10

6.
# Ti2GaCo2Si2
Theoretical X-ray diffraction stick pattern, a wavelength of 1.5418 Å. Input: a cell relaxed with PBE.
Kinematic intensities with the Lorentz-polarization factor, no thermal factor.

Atomic structure:
```
Ti2GaCo2Si2
1.0
4.108 0.000 0.000
0.000 4.108 0.000
0.000 0.000 13.018
Ti Ga Co Si
4 2 4 4
Direct
0.000 0.000 0.192
0.000 0.000 0.808
0.500 0.500 0.308
0.500 0.500 0.692
0.000 0.000 0.000
0.500 0.500 0.500
0.000 0.500 0.000
0.000 0.500 0.500
0.500 0.000 0.000
0.500 0.000 0.500
0.000 0.000 0.388
0.000 0.000 0.612
0.500 0.500 0.112
0.500 0.500 0.888
```

Top 10 peaks for 10° ≤ 2θ ≤ 90°, sorted by position:
2θ = 13.6°, 6.509 Å, I 100
2θ = 22.7°, 3.917 Å, I 26
2θ = 27.4°, 3.255 Å, I 24
2θ = 33.8°, 2.653 Å, I 30
2θ = 41.0°, 2.199 Å, I 65
2θ = 41.6°, 2.169 Å, I 29
2θ = 44.1°, 2.054 Å, I 67
2θ = 61.8°, 1.501 Å, I 36
2θ = 62.2°, 1.492 Å, I 19
2θ = 64.1°, 1.452 Å, I 20

7.
# Sr8P5H
Theoretical X-ray diffraction stick pattern, a wavelength of 1.5418 Å. Input: a cell relaxed with PBE.
Kinematic intensities with the Lorentz-polarization factor, no thermal factor.

Atomic structure:
```
Sr8P5H
1.0
-4.621 4.621 4.655
4.621 -4.621 4.655
4.621 4.621 -4.655
Sr P H
8 5 1
Direct
0.011 0.127 0.753
0.264 0.503 0.622
0.358 0.736 0.239
0.374 0.258 0.247
0.497 0.119 0.761
0.742 0.989 0.116
0.873 0.626 0.884
0.881 0.642 0.378
0.131 0.014 0.382
0.251 0.869 0.884
0.500 0.500 0.000
0.633 0.749 0.618
0.986 0.367 0.116
0.750 0.250 0.500
```

Top 10 peaks for 10° ≤ 2θ ≤ 90°, sorted by position:
2θ = 23.5°, 3.783 Å, I 40
2θ = 27.2°, 3.276 Å, I 45
2θ = 30.4°, 2.942 Å, I 46
2θ = 30.6°, 2.924 Å, I 100
2θ = 36.2°, 2.479 Å, I 60
2θ = 36.3°, 2.472 Å, I 29
2θ = 48.2°, 1.889 Å, I 19
2θ = 50.1°, 1.821 Å, I 16
2θ = 50.2°, 1.817 Å, I 15
2θ = 50.3°, 1.813 Å, I 28

8.
# Tl2Te4Pt3
Theoretical X-ray diffraction stick pattern, a wavelength of 1.5418 Å. Input: a cell relaxed with PBE.
Kinematic intensities with the Lorentz-polarization factor, no thermal factor.

Atomic structure:
```
Tl2Te4Pt3
1.0
-2.942 5.989 6.905
2.942 -5.989 6.905
2.942 5.989 -6.905
Tl Te Pt
4 8 6
Direct
0.139 0.189 0.328
0.361 0.689 0.049
0.639 0.311 0.951
0.861 0.811 0.672
0.029 0.435 0.183
0.248 0.065 0.595
0.252 0.846 0.817
0.471 0.654 0.405
0.529 0.346 0.595
0.748 0.154 0.183
0.752 0.935 0.405
0.971 0.565 0.817
0.014 0.250 0.764
0.250 0.250 0.000
0.486 0.250 0.236
0.514 0.750 0.764
0.750 0.750 0.000
0.986 0.750 0.236
```

Top 10 peaks for 10° ≤ 2θ ≤ 90°, sorted by position:
2θ = 12.8°, 6.905 Å, I 20
2θ = 28.8°, 3.101 Å, I 100
2θ = 30.9°, 2.890 Å, I 24
2θ = 32.6°, 2.747 Å, I 41
2θ = 33.1°, 2.706 Å, I 35
2θ = 39.0°, 2.307 Å, I 19
2θ = 43.1°, 2.098 Å, I 41
2θ = 50.0°, 1.825 Å, I 25
2θ = 50.3°, 1.813 Å, I 21
2θ = 53.0°, 1.727 Å, I 21